Li3V2P3O12: computed powder diffractogram (Cu Kα (λ = 1.5418 Å)), based on a structure optimized by DFT (GGA+U).
No peak broadening, texture or thermal motion is included.

Crystal structure
```
Li3V2P3O12
1.0
7.281 -4.455 0.000
7.281 4.455 0.000
-4.826 0.000 7.154
Li V P O
6 4 6 24
Direct
0.000 0.500 0.500
0.165 0.235 0.136
0.235 0.165 0.636
0.500 0.000 0.000
0.765 0.835 0.364
0.835 0.765 0.864
0.145 0.635 0.352
0.365 0.855 0.148
0.635 0.145 0.852
0.855 0.365 0.648
0.042 0.958 0.750
0.255 0.444 0.966
0.444 0.255 0.466
0.556 0.745 0.534
0.745 0.556 0.034
0.958 0.042 0.250
0.017 0.125 0.707
0.055 0.774 0.580
0.100 0.438 0.770
0.125 0.017 0.207
0.186 0.452 0.107
0.226 0.945 0.920
0.250 0.406 0.430
0.321 0.610 0.036
0.390 0.679 0.464
0.406 0.250 0.930
0.438 0.100 0.270
0.452 0.186 0.607
0.548 0.814 0.393
0.562 0.900 0.730
0.594 0.750 0.070
0.610 0.321 0.536
0.679 0.390 0.964
0.750 0.594 0.570
0.774 0.055 0.080
0.814 0.548 0.893
0.875 0.983 0.793
0.900 0.562 0.230
0.945 0.226 0.420
0.983 0.875 0.293
```

Most intense lines, 2θ from 15° to 90°, in order of rising 2θ:
2θ (°)  I (rel.)
20.2  28
20.8  48
23.8  100
24.3  50
28.8  29
35.1  22